No. 1
This entry pairs a crystal structure of Pm2Nd2Dy with its simulated PXRD pattern. Radiation: Cu Ka. Structure: a crystal structure in Alexandria, relaxed with GGA-PBE.
Peak positions follow from Bragg's law for the DFT cell and can differ from measured ones.

Structural model:
```
data_Pm2Nd2Dy
_cell_length_a 16.143
_cell_length_b 6.364
_cell_length_c 6.936
_cell_angle_alpha 90.00
_cell_angle_beta 104.83
_cell_angle_gamma 90.00
_space_group_name_H-M_alt 'C 1 2/c 1'
_space_group_IT_number 15
_space_group_name_Hall '-C 2yc'
loop_
_atom_site_label
_atom_site_type_symbol
_atom_site_fract_x
_atom_site_fract_y
_atom_site_fract_z
Pm1 Pm 0.199 0.083 0.151
Nd1 Nd 0.100 0.417 0.450
Dy1 Dy 0.000 0.082 0.750
```

Main lines, in order of rising 2θ (2θ = 10–90°):
2θ (°), I/Imax
28.02, 23
30.38, 25
31.96, 100
41.80, 16
49.59, 20
54.99, 22
59.27, 23
60.22, 16
77.15, 5
81.62, 7
81.71, 7
88.60, 6

No. 2
This entry pairs a crystal structure of TbScZnIn with its simulated PXRD pattern. Radiation: Cu Ka. Structure: a crystal structure in Alexandria, relaxed with GGA-PBE.
Peak positions follow from Bragg's law for the DFT cell and can differ from measured ones.

Structural model:
```
data_TbScZnIn
_cell_length_a 3.545
_cell_length_b 3.545
_cell_length_c 7.215
_cell_angle_alpha 90.00
_cell_angle_beta 90.00
_cell_angle_gamma 90.00
_space_group_name_H-M_alt 'P 4 m m'
_space_group_IT_number 99
_space_group_name_Hall 'P 4 -2'
loop_
_atom_site_label
_atom_site_type_symbol
_atom_site_fract_x
_atom_site_fract_y
_atom_site_fract_z
Tb1 Tb 0.000 0.000 0.000
Sc1 Sc 0.000 0.000 0.460
Zn1 Zn 0.500 0.500 0.257
In1 In 0.500 0.500 0.710
```

Main lines, in order of rising 2θ (2θ = 10–90°):
2θ (°), I/Imax
12.27, 15
28.04, 31
35.50, 100
35.82, 52
51.56, 18
52.75, 11
59.72, 8
63.55, 14
64.16, 34
75.15, 9
86.70, 7
86.89, 8

No. 3
This entry pairs a crystal structure of NaLi3Au4 with its simulated PXRD pattern. Radiation: Cu Ka. Structure: a crystal structure in Alexandria, relaxed with GGA-PBE.
Peak positions follow from Bragg's law for the DFT cell and can differ from measured ones.

Structural model:
```
data_NaLi3Au4
_cell_length_a 8.837
_cell_length_b 6.916
_cell_length_c 4.420
_cell_angle_alpha 90.00
_cell_angle_beta 90.00
_cell_angle_gamma 90.00
_space_group_name_H-M_alt 'P m m a'
_space_group_IT_number 51
_space_group_name_Hall '-P 2a 2a'
loop_
_atom_site_label
_atom_site_type_symbol
_atom_site_fract_x
_atom_site_fract_y
_atom_site_fract_z
Na1 Na 0.000 0.000 0.000
Li1 Li 0.000 0.500 0.000
Li2 Li 0.250 0.000 0.498
Li3 Li 0.250 0.500 0.496
Au1 Au 0.000 0.275 0.500
Au2 Au 0.250 0.276 0.997
```

Main lines, in order of rising 2θ (2θ = 10–90°):
2θ (°), I/Imax
25.76, 58
28.57, 100
38.84, 100
40.84, 48
48.92, 42
49.11, 10
59.13, 16
61.27, 15
65.57, 18
66.96, 19
68.96, 14
73.03, 32

No. 4
This entry pairs a crystal structure of BaNpGa2Br8 with its simulated PXRD pattern. Radiation: Cu Ka. Structure: a crystal structure in Alexandria, relaxed with GGA-PBE.
Peak positions follow from Bragg's law for the DFT cell and can differ from measured ones.

Structural model:
```
data_BaNpGa2Br8
_cell_length_a 7.099
_cell_length_b 9.287
_cell_length_c 7.321
_cell_angle_alpha 90.00
_cell_angle_beta 91.26
_cell_angle_gamma 90.00
_space_group_name_H-M_alt 'P 1 2/m 1'
_space_group_IT_number 10
_space_group_name_Hall '-P 2y'
loop_
_atom_site_label
_atom_site_type_symbol
_atom_site_fract_x
_atom_site_fract_y
_atom_site_fract_z
Ba1 Ba 0.000 0.000 0.000
Np1 Np 0.000 0.500 0.000
Ga1 Ga 0.500 0.237 0.500
Br1 Br 0.226 0.282 0.849
Br2 Br 0.226 0.500 0.306
Br3 Br 0.278 0.000 0.352
```

Main lines, in order of rising 2θ (2θ = 10–90°):
2θ (°), I/Imax
12.09, 32
12.47, 32
17.21, 76
17.60, 63
22.89, 51
25.83, 96
27.67, 45
33.86, 100
34.28, 49
38.78, 38
41.83, 59
42.90, 29

No. 5
This entry pairs a crystal structure of LaCuAu3 with its simulated PXRD pattern. Radiation: Cu Ka. Structure: a crystal structure in Alexandria, relaxed with GGA-PBE.
Peak positions follow from Bragg's law for the DFT cell and can differ from measured ones.

Structural model:
```
data_LaCuAu3
_cell_length_a 6.212
_cell_length_b 6.140
_cell_length_c 6.224
_cell_angle_alpha 90.00
_cell_angle_beta 114.52
_cell_angle_gamma 90.00
_space_group_name_H-M_alt 'P 1 21/m 1'
_space_group_IT_number 11
_space_group_name_Hall '-P 2yb'
loop_
_atom_site_label
_atom_site_type_symbol
_atom_site_fract_x
_atom_site_fract_y
_atom_site_fract_z
La1 La 0.225 0.250 0.276
Cu1 Cu 0.079 0.750 0.422
Au1 Au 0.284 0.000 0.785
Au2 Au 0.316 0.750 0.182
```

Main lines, in order of rising 2θ (2θ = 10–90°):
2θ (°), I/Imax
16.95, 19
31.63, 100
33.86, 95
34.29, 25
37.38, 22
39.76, 93
46.41, 24
53.49, 24
54.58, 14
60.30, 15
65.80, 21
69.70, 21

No. 6
This entry pairs a crystal structure of PmTmSe2Cl with its simulated PXRD pattern. Radiation: Cu Ka. Structure: a crystal structure in Alexandria, relaxed with GGA-PBE.
Peak positions follow from Bragg's law for the DFT cell and can differ from measured ones.

Structural model:
```
data_PmTmSe2Cl
_cell_length_a 4.133
_cell_length_b 4.133
_cell_length_c 13.989
_cell_angle_alpha 90.00
_cell_angle_beta 90.00
_cell_angle_gamma 90.00
_space_group_name_H-M_alt 'P 4/n m m'
_space_group_IT_number 129
loop_
_space_group_symop_operation_xyz
'x,y,z'
'-x,-y,-z'
'-y+1/2,x,z'
'y+1/2,-x,-z'
'-x+1/2,-y+1/2,z'
'x+1/2,y+1/2,-z'
'y,-x+1/2,z'
'-y,x+1/2,-z'
'x+1/2,-y,-z'
'-x+1/2,y,z'
'-y,-x,-z'
'y,x,z'
'-x,y+1/2,-z'
'x,-y+1/2,z'
'y+1/2,x+1/2,-z'
'-y+1/2,-x+1/2,z'
loop_
_atom_site_label
_atom_site_type_symbol
_atom_site_fract_x
_atom_site_fract_y
_atom_site_fract_z
Pm1 Pm 0.250 0.250 0.147
Tm1 Tm 0.250 0.250 0.589
Se1 Se 0.250 0.250 0.384
Se2 Se 0.250 0.250 0.793
Cl1 Cl 0.250 0.750 0.000
```

Main lines, in order of rising 2θ (2θ = 10–90°):
2θ (°), I/Imax
25.03, 51
25.47, 22
30.59, 100
31.99, 25
36.28, 18
38.87, 36
40.21, 46
43.81, 50
44.85, 24
55.26, 20
59.98, 20
80.79, 18

No. 7
This entry pairs a crystal structure of PmSm6Tm2Th3 with its simulated PXRD pattern. Radiation: Cu Ka. Structure: a crystal structure in Alexandria, relaxed with GGA-PBE.
Peak positions follow from Bragg's law for the DFT cell and can differ from measured ones.

Structural model:
```
data_PmSm6Tm2Th3
_cell_length_a 6.228
_cell_length_b 10.776
_cell_length_c 11.931
_cell_angle_alpha 90.00
_cell_angle_beta 100.03
_cell_angle_gamma 90.00
_space_group_name_H-M_alt 'C 1 2/m 1'
_space_group_IT_number 12
_space_group_name_Hall '-C 2y'
loop_
_atom_site_label
_atom_site_type_symbol
_atom_site_fract_x
_atom_site_fract_y
_atom_site_fract_z
Pm1 Pm 0.000 0.000 0.000
Sm1 Sm 0.248 0.333 0.746
Sm2 Sm 0.250 0.000 0.747
Tm1 Tm 0.000 0.333 0.000
Th1 Th 0.000 0.166 0.500
Th2 Th 0.000 0.500 0.500
```

Main lines, in order of rising 2θ (2θ = 10–90°):
2θ (°), I/Imax
15.08, 2
30.45, 100
35.31, 51
50.79, 36
60.36, 11
60.39, 33
63.37, 13
74.68, 6
82.73, 15
82.82, 3
85.38, 14
85.47, 3

No. 8
This entry pairs a crystal structure of K4BiI6 with its simulated PXRD pattern. Radiation: Cu Ka. Structure: a crystal structure in Alexandria, relaxed with GGA-PBE.
Peak positions follow from Bragg's law for the DFT cell and can differ from measured ones.

Structural model:
```
data_K4BiI6
_cell_length_a 9.816
_cell_length_b 9.816
_cell_length_c 10.012
_cell_angle_alpha 90.00
_cell_angle_beta 90.00
_cell_angle_gamma 90.00
_space_group_name_H-M_alt 'P 4/m n c'
_space_group_IT_number 128
_space_group_name_Hall '-P 4 2n'
loop_
_atom_site_label
_atom_site_type_symbol
_atom_site_fract_x
_atom_site_fract_y
_atom_site_fract_z
K1 K 0.165 0.335 0.250
Bi1 Bi 0.000 0.000 0.000
I1 I 0.000 0.000 0.306
I2 I 0.118 0.674 0.000
```

Main lines, in order of rising 2θ (2θ = 10–90°):
2θ (°), I/Imax
12.63, 34
12.75, 28
20.23, 19
25.67, 22
27.01, 82
28.24, 38
28.76, 100
33.74, 19
38.53, 18
41.12, 23
42.87, 29
46.61, 26